[1]
Structure and computed PXRD pattern of NdTm3S4 (a DFT-relaxed cell (PBE, Alexandria); Cu Kα X-rays).
Kinematic intensities with the Lorentz-polarization factor, no thermal factor.

Structural model:
```
data_NdTm3S4
_space_group_name_H-M_alt 'P m -3 m'
_space_group_IT_number 221
_space_group_name_Hall '-P 4 2 3'
_cell_length_a 5.525
_cell_length_b 5.525
_cell_length_c 5.525
_cell_angle_alpha 90.00
_cell_angle_beta 90.00
_cell_angle_gamma 90.00
loop_
_atom_site_label
_atom_site_fract_x
_atom_site_fract_y
_atom_site_fract_z
_atom_site_occupancy
Nd1 0.000 0.000 0.000 1
Tm1 0.000 0.500 0.500 1
S1 0.000 0.000 0.500 1
S2 0.500 0.500 0.500 1
```

Main lines, low angle first (2θ = 10–90°):
index, 2θ (°), I (rel.)
1 1 1, 27.97, 831
2 0 0, 32.41, 1000
2 2 0, 46.49, 721
3 1 1, 55.14, 405
2 2 2, 57.81, 250
4 0 0, 67.86, 116
3 3 1, 74.92, 164
4 2 0, 77.22, 322
4 2 2, 86.25, 249


[2]
Structure and computed PXRD pattern of Nd4Tm11S22 (a DFT-relaxed cell (PBE, Alexandria); Cu Kα X-rays).
Kinematic intensities with the Lorentz-polarization factor, no thermal factor.

Structural model:
```
data_Nd4Tm11S22
_space_group_name_H-M_alt 'C 1 2/m 1'
_space_group_IT_number 12
_space_group_name_Hall '-C 2y'
_cell_length_a 38.940
_cell_length_b 3.922
_cell_length_c 11.293
_cell_angle_alpha 90.00
_cell_angle_beta 91.60
_cell_angle_gamma 90.00
loop_
_atom_site_label
_atom_site_fract_x
_atom_site_fract_y
_atom_site_fract_z
_atom_site_occupancy
Nd1 0.105 0.000 0.013 1
Nd2 0.132 0.500 0.650 1
Tm1 0.000 0.000 0.000 1
Tm2 0.039 0.500 0.731 1
Tm3 0.070 0.000 0.360 1
Tm4 0.158 0.500 0.301 1
Tm5 0.202 0.000 0.942 1
Tm6 0.235 0.500 0.647 1
S1 0.008 0.000 0.241 1
S2 0.047 0.500 0.970 1
S3 0.057 0.500 0.509 1
S4 0.088 0.000 0.755 1
S5 0.093 0.500 0.212 1
S6 0.135 0.000 0.452 1
S7 0.150 0.500 0.907 1
S8 0.169 0.000 0.151 1
S9 0.188 0.000 0.691 1
S10 0.220 0.500 0.408 1
S11 0.245 0.500 0.880 1
```

Main lines, low angle first (2θ = 10–90°):
index, 2θ (°), I (rel.)
6 0 1, 15.94, 294
0 0 3, 23.64, 797
10 0 1, 24.40, 1000
3 1 1, 25.08, 393
5 1 -1, 26.55, 594
10 0 -2, 27.47, 490
1 1 2, 27.83, 541
9 1 -1, 31.66, 631
11 1 0, 34.13, 560
11 1 3, 42.36, 543
9 1 -4, 44.33, 362
0 2 0, 46.30, 433


[3]
Structure and computed PXRD pattern of NdTm6S8 (a DFT-relaxed cell (PBE, Alexandria); Cu Kα X-rays).
Kinematic intensities with the Lorentz-polarization factor, no thermal factor.

Structural model:
```
data_NdTm6S8
_space_group_name_H-M_alt 'F m -3 m'
_space_group_IT_number 225
_space_group_name_Hall '-F 4 2 3'
_cell_length_a 10.891
_cell_length_b 10.891
_cell_length_c 10.891
_cell_angle_alpha 90.00
_cell_angle_beta 90.00
_cell_angle_gamma 90.00
loop_
_atom_site_label
_atom_site_fract_x
_atom_site_fract_y
_atom_site_fract_z
_atom_site_occupancy
Nd1 0.000 0.000 0.000 1
Tm1 0.000 0.250 0.250 1
S1 0.000 0.000 0.260 1
S2 0.250 0.250 0.250 1
```

Main lines, low angle first (2θ = 10–90°):
index, 2θ (°), I (rel.)
1 1 1, 14.08, 87
2 0 0, 16.28, 99
2 2 0, 23.10, 87
2 2 2, 28.39, 751
4 0 0, 32.89, 1000
4 4 0, 47.21, 714
6 2 2, 56.01, 370
4 4 4, 58.73, 246
8 0 0, 68.98, 113
6 6 2, 76.20, 152
8 4 0, 78.56, 317
8 4 4, 87.82, 247


[4]
Structure and computed PXRD pattern of NdTm2US8 (a DFT-relaxed cell (PBE, Alexandria); Cu Kα X-rays).
Kinematic intensities with the Lorentz-polarization factor, no thermal factor.

Structural model:
```
data_NdTm2US8
_space_group_name_H-M_alt 'P 1 2/m 1'
_space_group_IT_number 10
_space_group_name_Hall '-P 2y'
_cell_length_a 5.911
_cell_length_b 8.242
_cell_length_c 6.264
_cell_angle_alpha 90.00
_cell_angle_beta 90.48
_cell_angle_gamma 90.00
loop_
_atom_site_label
_atom_site_fract_x
_atom_site_fract_y
_atom_site_fract_z
_atom_site_occupancy
Nd1 0.000 0.000 0.000 1
Tm1 0.500 0.257 0.500 1
U1 0.000 0.500 0.000 1
S1 0.222 0.000 0.424 1
S2 0.248 0.500 0.341 1
S3 0.251 0.271 0.864 1
```

Main lines, low angle first (2θ = 10–90°):
index, 2θ (°), I (rel.)
1 0 -1, 20.57, 808
1 0 1, 20.75, 867
0 2 1, 25.88, 539
1 2 0, 26.36, 1000
0 0 2, 28.50, 389
1 2 -2, 39.12, 361
1 2 2, 39.31, 332
2 2 -1, 40.12, 503
2 2 1, 40.31, 474
0 4 0, 43.94, 218
0 2 3, 48.93, 443
1 4 1, 49.07, 173


[5]
Structure and computed PXRD pattern of Nd2YTmS5 (a DFT-relaxed cell (PBE, Alexandria); Cu Kα X-rays).
Kinematic intensities with the Lorentz-polarization factor, no thermal factor.

Structural model:
```
data_Nd2YTmS5
_space_group_name_H-M_alt 'P 4/m m m'
_space_group_IT_number 123
_space_group_name_Hall '-P 4 2'
_cell_length_a 4.833
_cell_length_b 4.833
_cell_length_c 10.230
_cell_angle_alpha 90.00
_cell_angle_beta 90.00
_cell_angle_gamma 90.00
loop_
_atom_site_label
_atom_site_fract_x
_atom_site_fract_y
_atom_site_fract_z
_atom_site_occupancy
Nd1 0.000 0.000 0.204 1
Y1 0.500 0.500 0.500 1
Tm1 0.500 0.500 0.000 1
S1 0.000 0.000 0.500 1
S2 0.000 0.500 0.000 1
S3 0.500 0.500 0.254 1
```

Main lines, low angle first (2θ = 10–90°):
index, 2θ (°), I (rel.)
1 0 2, 25.35, 979
1 1 0, 26.08, 1000
1 0 3, 32.12, 379
0 0 4, 35.09, 196
2 0 0, 37.22, 699
1 1 4, 44.24, 285
2 1 2, 45.56, 425
2 1 3, 49.96, 219
2 0 4, 52.07, 304
2 2 0, 53.64, 194
3 1 0, 60.59, 189
3 1 4, 71.99, 158


[6]
Structure and computed PXRD pattern of NdY2TmS6 (a DFT-relaxed cell (PBE, Alexandria); Cu Kα X-rays).
Kinematic intensities with the Lorentz-polarization factor, no thermal factor.

Structural model:
```
data_NdY2TmS6
_space_group_name_H-M_alt 'R 3'
_space_group_IT_number 146
_space_group_name_Hall 'R 3'
_cell_length_a 6.9632
_cell_length_b 6.9632
_cell_length_c 18.5727
_cell_angle_alpha 90.00
_cell_angle_beta 90.00
_cell_angle_gamma 120.00
loop_
_atom_site_label
_atom_site_fract_x
_atom_site_fract_y
_atom_site_fract_z
_atom_site_occupancy
Nd1 0.0000 0.0000 0.0000 1
Y1 0.0000 0.0000 0.2923 1
Y2 0.0000 0.0000 0.7963 1
Tm1 0.0000 0.0000 0.4936 1
S1 0.0155 0.7146 0.3947 1
S2 0.0292 0.3589 0.5600 1
```

Main lines, low angle first (2θ = 10–90°):
index, 2θ (°), I (rel.)
0 1 2, 17.54, 627
1 0 4, 24.19, 1000
1 1 0, 25.59, 908
2 -1 3, 29.43, 237
0 2 4, 35.50, 504
2 -1 6, 38.93, 885
3 -1 4, 44.27, 495
3 0 0, 45.10, 537
1 0 10, 51.48, 269
2 2 6, 61.07, 221
2 1 10, 64.75, 188
5 -1 6, 79.08, 198


[7]
Structure and computed PXRD pattern of NdUS3 (a DFT-relaxed cell (PBE, Alexandria); Cu Kα X-rays).
Kinematic intensities with the Lorentz-polarization factor, no thermal factor.

Structural model:
```
data_NdUS3
_space_group_name_H-M_alt 'P n m a'
_space_group_IT_number 62
_space_group_name_Hall '-P 2ac 2n'
_cell_length_a 7.428
_cell_length_b 3.964
_cell_length_c 15.420
_cell_angle_alpha 90.00
_cell_angle_beta 90.00
_cell_angle_gamma 90.00
loop_
_atom_site_label
_atom_site_fract_x
_atom_site_fract_y
_atom_site_fract_z
_atom_site_occupancy
Nd1 0.117 0.250 0.205 1
U1 0.237 0.750 0.461 1
S1 0.010 0.250 0.399 1
S2 0.125 0.750 0.066 1
S3 0.165 0.250 0.783 1
```

Main lines, low angle first (2θ = 10–90°):
index, 2θ (°), I (rel.)
0 0 4, 23.09, 165
1 0 4, 26.10, 1000
2 0 2, 26.64, 206
0 1 3, 28.44, 253
2 0 4, 33.54, 156
2 1 2, 35.10, 246
0 1 5, 36.95, 198
1 1 5, 38.94, 196
3 1 1, 43.49, 158
2 1 5, 44.51, 152
0 2 0, 45.78, 156
3 1 3, 46.73, 178


[8]
Structure and computed PXRD pattern of Nd2U2S7 (a DFT-relaxed cell (PBE, Alexandria); Cu Kα X-rays).
Kinematic intensities with the Lorentz-polarization factor, no thermal factor.

Structural model:
```
data_Nd2U2S7
_space_group_name_H-M_alt 'I m m 2'
_space_group_IT_number 44
_space_group_name_Hall 'I 2 -2'
_cell_length_a 3.951
_cell_length_b 14.194
_cell_length_c 8.691
_cell_angle_alpha 90.00
_cell_angle_beta 90.00
_cell_angle_gamma 90.00
loop_
_atom_site_label
_atom_site_fract_x
_atom_site_fract_y
_atom_site_fract_z
_atom_site_occupancy
Nd1 0.000 0.000 0.000 1
Nd2 0.000 0.500 0.041 1
U1 0.000 0.242 0.245 1
S1 0.000 0.000 0.316 1
S2 0.000 0.116 0.721 1
S3 0.000 0.311 0.938 1
S4 0.000 0.355 0.554 1
```

Main lines, low angle first (2θ = 10–90°):
index, 2θ (°), I (rel.)
0 2 2, 24.01, 1000
1 0 1, 24.75, 534
0 4 0, 25.09, 449
1 2 1, 27.81, 627
1 4 1, 35.54, 857
1 0 3, 38.54, 177
1 2 3, 40.66, 580
0 6 2, 43.56, 359
2 0 0, 45.93, 407
2 2 2, 52.49, 257
2 6 2, 65.16, 221
2 8 0, 71.46, 180


[9]
Structure and computed PXRD pattern of Nd10US16 (a DFT-relaxed cell (PBE, Alexandria); Cu Kα X-rays).
Kinematic intensities with the Lorentz-polarization factor, no thermal factor.

Structural model:
```
data_Nd10US16
_space_group_name_H-M_alt 'P -4'
_space_group_IT_number 81
_space_group_name_Hall 'P -4'
_cell_length_a 8.575
_cell_length_b 8.575
_cell_length_c 8.574
_cell_angle_alpha 90.00
_cell_angle_beta 90.00
_cell_angle_gamma 90.00
loop_
_atom_site_label
_atom_site_fract_x
_atom_site_fract_y
_atom_site_fract_z
_atom_site_occupancy
Nd1 0.000 0.500 0.246 1
Nd2 0.131 0.255 0.620 1
Nd3 0.257 0.619 0.855 1
U1 0.000 0.000 0.000 1
S1 0.064 0.318 0.944 1
S2 0.075 0.174 0.297 1
S3 0.169 0.578 0.540 1
S4 0.316 0.579 0.181 1
```

Main lines, low angle first (2θ = 10–90°):
index, 2θ (°), I (rel.)
1 0 0, 10.32, 125
2 0 1, 23.20, 162
1 2 1, 25.44, 1000
3 1 0, 33.03, 964
2 1 3, 39.31, 589
4 0 2, 47.42, 392
2 3 3, 49.88, 250
2 4 2, 52.26, 86
1 4 3, 54.57, 299
6 1 1, 67.31, 350
5 1 4, 71.27, 137
2 7 1, 82.70, 247


[10]
Structure and computed PXRD pattern of NdU3S4 (a DFT-relaxed cell (PBE, Alexandria); Cu Kα X-rays).
Kinematic intensities with the Lorentz-polarization factor, no thermal factor.

Structural model:
```
data_NdU3S4
_space_group_name_H-M_alt 'C m m m'
_space_group_IT_number 65
_space_group_name_Hall '-C 2 2'
_cell_length_a 7.893
_cell_length_b 11.071
_cell_length_c 3.892
_cell_angle_alpha 90.00
_cell_angle_beta 90.00
_cell_angle_gamma 90.00
loop_
_atom_site_label
_atom_site_fract_x
_atom_site_fract_y
_atom_site_fract_z
_atom_site_occupancy
Nd1 0.000 0.000 0.000 1
U1 0.000 0.500 0.000 1
U2 0.250 0.250 0.500 1
S1 0.000 0.254 0.000 1
S2 0.242 0.500 0.500 1
```

Main lines, low angle first (2θ = 10–90°):
index, 2θ (°), I (rel.)
2 2 0, 27.76, 503
0 2 1, 28.03, 491
2 0 1, 32.32, 1000
4 0 0, 45.99, 125
2 4 1, 46.37, 488
0 0 2, 46.68, 120
4 2 1, 54.73, 168
2 2 2, 55.15, 246
4 4 0, 57.35, 131
0 4 2, 57.93, 127
4 0 2, 67.65, 121
4 4 2, 76.99, 229


[11]
Structure and computed PXRD pattern of NdY4S6 (a DFT-relaxed cell (PBE, Alexandria); Cu Kα X-rays).
Kinematic intensities with the Lorentz-polarization factor, no thermal factor.

Structural model:
```
data_NdY4S6
_space_group_name_H-M_alt 'C m c m'
_space_group_IT_number 63
_space_group_name_Hall '-C 2c 2'
_cell_length_a 3.882
_cell_length_b 12.917
_cell_length_c 19.953
_cell_angle_alpha 90.00
_cell_angle_beta 90.00
_cell_angle_gamma 90.00
loop_
_atom_site_label
_atom_site_fract_x
_atom_site_fract_y
_atom_site_fract_z
_atom_site_occupancy
Nd1 0.000 0.153 0.250 1
Y1 0.000 0.092 0.627 1
Y2 0.000 0.361 0.540 1
S1 0.000 0.000 0.000 1
S2 0.000 0.186 0.750 1
S3 0.000 0.269 0.089 1
S4 0.000 0.452 0.665 1
```

Main lines, low angle first (2θ = 10–90°):
index, 2θ (°), I (rel.)
1 1 2, 25.57, 257
0 2 5, 26.25, 825
1 1 3, 27.48, 363
0 4 0, 27.62, 220
0 2 6, 30.23, 228
1 3 1, 31.35, 257
1 3 2, 32.32, 1000
1 3 3, 33.89, 550
1 1 8, 43.70, 385
0 6 4, 45.93, 539
2 0 0, 46.80, 304
2 2 5, 54.45, 218


[12]
Structure and computed PXRD pattern of NdY2S (a DFT-relaxed cell (PBE, Alexandria); Cu Kα X-rays).
Kinematic intensities with the Lorentz-polarization factor, no thermal factor.

Structural model:
```
data_NdY2S
_space_group_name_H-M_alt 'R 3 m'
_space_group_IT_number 160
_space_group_name_Hall 'R 3 -2"'
_cell_length_a 3.7636
_cell_length_b 3.7636
_cell_length_c 28.1336
_cell_angle_alpha 90.00
_cell_angle_beta 90.00
_cell_angle_gamma 120.00
loop_
_atom_site_label
_atom_site_fract_x
_atom_site_fract_y
_atom_site_fract_z
_atom_site_occupancy
Nd1 0.0000 0.0000 0.0000 1
Y1 0.0000 0.0000 0.5596 1
Y2 0.0000 0.0000 0.7743 1
S1 0.0000 0.0000 0.1670 1
```

Main lines, low angle first (2θ = 10–90°):
index, 2θ (°), I (rel.)
1 0 1, 27.55, 255
0 1 2, 28.10, 222
0 0 9, 28.56, 380
1 0 4, 30.22, 669
0 1 5, 31.73, 1000
1 0 7, 35.46, 203
1 1 0, 48.37, 403
1 0 13, 50.63, 208
0 1 14, 53.57, 153
1 1 9, 57.13, 322
0 0 18, 59.04, 228
1 1 18, 79.72, 299